# 1
Structure and simulated powder diffractogram of SnAs3 (a crystal structure in the Materials Project, relaxed with GGA-PBE; Cu Kα, 1.54184 Å).
Kinematic intensities with the Lorentz-polarization factor, no thermal factor.

Atomic structure:
abc: 6.317 6.317 6.317
angles: 143.44 143.44 52.67
Atoms (fractional coordinates):
Sn 0.000 0.000 0.000
As 0.250 0.750 0.500
As 0.500 0.500 0.000
As 0.750 0.250 0.500

Peak list (12 most intense, 2θ = 10–90°, by angle)
2theta	Rel. int.
15.65	3
23.79	4
31.61	35
35.75	100
45.79	25
56.71	26
59.01	23
66.00	4
66.77	8
75.75	11
78.11	21
84.04	9

***

# 2
Structure and simulated powder diffractogram of CaCd3O4 (a crystal structure in the Materials Project, relaxed with GGA-PBE; Cu Kα, 1.54184 Å).
Kinematic intensities with the Lorentz-polarization factor, no thermal factor.

Atomic structure:
abc: 5.860 5.860 3.412
angles: 90.00 90.00 109.77
Atoms (fractional coordinates):
Ca 0.000 0.000 0.000
Cd 0.000 0.500 0.500
Cd 0.500 0.000 0.500
Cd 0.500 0.500 0.000
O 0.248 0.248 0.500
O 0.250 0.750 0.000
O 0.750 0.250 0.000
O 0.752 0.752 0.500

Peak list (12 most intense, 2θ = 10–90°, by angle)
2theta	Rel. int.
16.07	13
32.20	50
32.47	49
37.51	100
53.73	11
54.10	42
54.44	10
64.20	14
64.68	14
67.38	10
68.00	10
80.04	9

***

# 3
Structure and simulated powder diffractogram of Tl6S (a crystal structure in the Materials Project, relaxed with GGA-PBE; Cu Kα, 1.54184 Å).
Kinematic intensities with the Lorentz-polarization factor, no thermal factor.

Atomic structure:
abc: 6.572 6.572 6.010
angles: 90.00 90.00 120.00
Atoms (fractional coordinates):
Tl 0.000 0.385 0.000
Tl 0.000 0.650 0.516
Tl 0.350 0.350 0.516
Tl 0.385 0.000 0.000
Tl 0.615 0.615 0.000
Tl 0.650 0.000 0.516
S 0.000 0.000 0.220

Peak list (12 most intense, 2θ = 10–90°, by angle)
2theta	Rel. int.
27.14	21
29.73	26
31.02	100
40.69	19
44.75	8
47.96	17
53.58	22
57.45	18
58.22	13
60.66	7
78.67	7
81.77	7